Theoretical powder X-ray diffraction pattern of La4Ho3TmS8 for λ = 1.5418 Å (Cu Kα), from a GGA-PBE-relaxed structure.
Lines closer than 0.1° are merged.

Cell and atoms:
Lattice parameters (Å, degrees): 8.116 8.116 8.116 58.60 58.60 58.60
Fractional coordinates of all 16 atoms:
La1 0.000 0.000 0.000
La2 0.000 0.500 0.500
La3 0.500 0.000 0.500
La4 0.500 0.500 0.000
Ho1 0.000 0.000 0.500
Ho2 0.000 0.500 0.000
Ho3 0.500 0.000 0.000
Tm1 0.500 0.500 0.500
S1 0.242 0.242 0.242
S2 0.244 0.741 0.741
S3 0.259 0.259 0.756
S4 0.259 0.756 0.259
S5 0.741 0.244 0.741
S6 0.741 0.741 0.244
S7 0.756 0.259 0.259
S8 0.758 0.758 0.758

Main lines, low angle first (2θ from 15° to 90°):
d_spacing  Rel. int.
3.348  21
3.254  57
2.838  100
2.028  37
1.986  35
1.708  20
1.627  18
1.280  16
1.259  16
1.155  12